1.
Theoretical X-ray diffraction stick pattern of Pm3TlGe for Cu Kα, 1.54184 Å, from a crystal structure in Alexandria, relaxed with PBE.
Neutral-atom scattering factors, no anomalous dispersion.

```
Pm3TlGe
1.0
0.0000 4.9219 8.3702
3.4943 0.0000 8.3702
3.4943 4.9219 0.0000
Pm Tl Ge
6 2 2
Cartesian
3.4943 4.9219 3.1884
3.4943 3.0662 6.5938
3.4943 3.0662 10.1466
3.4943 6.7776 6.5938
3.4943 6.7776 10.1466
3.4943 4.9219 13.5519
5.5285 4.9219 8.3702
1.4600 4.9219 8.3702
1.7471 2.4609 4.1851
5.2414 7.3828 12.5553
```

Main lines, by intensity (2θ from 10° to 90°):
2θ (°), I/Imax
33.2, 100
30.6, 76
33.4, 74
31.0, 66
37.0, 57
28.0, 49
50.8, 32
55.7, 30
36.5, 22
34.2, 21
54.4, 20
64.2, 16

=====

2.
Theoretical X-ray diffraction stick pattern of Y3InSb for Cu Kα, 1.54184 Å, from a crystal structure in Alexandria, relaxed with PBE.
Neutral-atom scattering factors, no anomalous dispersion.

```
Y3InSb
1.0
4.1698 0.0000 0.0000
-0.0009 8.2462 0.0000
-2.0849 -2.5208 9.0011
Y In Sb
6 2 2
Cartesian
-0.0006 2.3818 1.3585
-0.0010 6.6966 2.9285
0.0012 1.7883 5.2048
2.0829 3.9371 3.7962
2.0851 -0.9712 6.0725
2.0847 3.3436 7.6426
-0.0021 0.5295 7.9870
2.0862 5.1959 1.0140
-0.0015 4.9732 5.8741
2.0856 0.7522 3.1270
```

Main lines, by intensity (2θ from 10° to 90°):
2θ (°), I/Imax
32.5, 100
43.4, 20
30.5, 20
30.0, 17
31.8, 15
40.1, 14
37.9, 13
38.8, 13
19.9, 11
34.7, 11
37.0, 11
32.9, 10

=====

3.
Theoretical X-ray diffraction stick pattern of Ca5La for Cu Kα, 1.54184 Å, from a crystal structure in Alexandria, relaxed with PBE.
Neutral-atom scattering factors, no anomalous dispersion.

```
Ca5La
1.0
6.3679 0.0000 0.0000
0.0000 3.8221 0.0000
0.0000 0.0000 20.2376
Ca La
10 2
Cartesian
0.0000 0.0000 0.0000
0.0000 0.0000 6.6992
0.0000 0.0000 13.5092
0.0000 1.9111 3.3904
0.0000 1.9111 10.1188
0.0000 1.9111 16.8180
3.1840 0.0000 11.3043
3.1840 0.0000 17.9992
3.1840 1.9111 1.1855
3.1840 1.9111 7.8805
3.1840 0.0000 4.5362
3.1840 1.9111 14.6550
```

Main lines, by intensity (2θ from 10° to 90°):
2θ (°), I/Imax
30.3, 100
30.0, 55
28.0, 41
26.8, 30
55.5, 23
51.0, 23
39.2, 21
16.4, 20
46.9, 19
57.3, 16
13.9, 14
26.4, 13

=====

4.
Theoretical X-ray diffraction stick pattern of NaGa2P2O9 for Cu Kα, 1.54184 Å, from a crystal structure in Alexandria, relaxed with PBE.
Neutral-atom scattering factors, no anomalous dispersion.

```
NaGa2P2O9
1.0
9.1823 0.0000 0.0000
0.0000 9.2286 0.0000
-5.1826 0.0000 8.5630
Na Ga P O
4 8 8 36
Cartesian
-0.2904 1.1025 4.0215
-2.8817 3.5118 8.3031
6.8813 5.7167 0.2600
4.2900 8.1261 4.5415
-0.6856 6.6404 3.5977
-3.2769 7.2024 7.8793
3.8121 0.6576 1.1759
1.2208 3.9567 5.4574
2.7788 5.2719 3.1056
0.1875 8.5709 7.3872
7.2765 2.0261 0.6838
4.6852 2.5881 4.9653
-2.4638 0.4944 6.4897
0.1275 4.1198 2.2082
-0.9202 5.7652 6.5661
1.6711 8.0776 2.2846
2.3285 1.1510 6.2785
4.9198 3.4633 1.9970
3.8721 5.1087 6.3549
6.4634 8.7341 2.0733
-2.9400 1.5576 5.4968
-0.3487 3.0567 1.2153
-0.8556 5.3446 2.2179
-3.4469 8.4983 6.4994
-1.5049 6.2714 5.2225
1.0864 7.5714 0.9410
-2.4298 1.1297 7.9237
0.1615 3.4846 3.6421
-2.0996 5.7423 7.5907
0.4917 8.1006 3.3092
-1.0435 0.0561 6.0399
1.5478 4.5582 1.7583
2.2187 0.2874 2.2034
-0.3726 4.3269 6.4850
1.0423 5.5267 4.2598
-1.5490 8.3161 8.5413
0.2206 6.6959 7.0680
2.8119 7.1470 2.7865
1.1878 2.0816 5.7765
3.7791 2.5327 1.4950
5.5487 0.9125 0.0217
2.9574 3.7018 4.3032
4.3723 4.9016 2.0781
1.7810 8.9412 6.3596
2.4518 4.6704 6.8047
5.0431 9.1724 2.5232
3.5079 1.1280 5.2539
6.0992 3.4863 0.9723
3.8381 5.7439 4.9209
6.4294 8.0989 0.6394
2.9133 1.6572 7.6221
5.5046 2.9571 3.3406
7.4465 0.7303 2.0637
4.8552 3.8840 6.3452
4.3483 6.1719 7.3478
6.9396 7.6709 3.0662
```

Main lines, by intensity (2θ from 10° to 90°):
2θ (°), I/Imax
14.8, 100
22.9, 78
14.3, 68
34.2, 58
27.4, 57
23.5, 53
28.4, 52
31.1, 51
14.1, 47
22.3, 42
11.3, 31
21.4, 27

=====

5.
Theoretical X-ray diffraction stick pattern of Ce2Tl4S5 for Cu Kα, 1.54184 Å, from a crystal structure in Alexandria, relaxed with PBE.
Neutral-atom scattering factors, no anomalous dispersion.

```
Ce2Tl4S5
1.0
2.0908 1.2071 23.4133
-2.0908 1.2071 23.4133
0.0000 -2.4143 23.4133
Ce Tl S
2 4 5
Cartesian
0.0000 0.0000 10.0019
0.0000 0.0000 60.2380
0.0000 0.0000 21.9123
0.0000 0.0000 28.9922
0.0000 0.0000 41.2477
0.0000 0.0000 48.3276
0.0000 0.0000 14.7334
0.0000 0.0000 26.3845
0.0000 0.0000 35.1199
0.0000 0.0000 43.8554
0.0000 0.0000 55.5065
```

Main lines, by intensity (2θ from 10° to 90°):
2θ (°), I/Imax
28.3, 100
43.3, 48
26.2, 42
22.8, 41
49.5, 32
45.0, 30
25.1, 30
37.6, 28
24.6, 25
34.7, 19
52.5, 18
27.7, 17

=====

6.
Theoretical X-ray diffraction stick pattern of V5As2N for Cu Kα, 1.54184 Å, from a crystal structure in Alexandria, relaxed with PBE.
Neutral-atom scattering factors, no anomalous dispersion.

```
V5As2N
1.0
2.0340 -6.2031 0.0000
2.0340 6.2031 0.0000
0.0000 0.0000 10.0475
V As N
10 4 2
Cartesian
2.0340 5.1264 6.3109
2.0340 5.1264 8.7603
2.0340 2.7612 5.6747
2.0340 2.7612 9.3965
2.0340 2.6638 2.5119
2.0340 -2.6638 7.5356
2.0340 -2.7612 0.6509
2.0340 -2.7612 4.3728
2.0340 -5.1264 1.2872
2.0340 -5.1264 3.7366
2.0340 4.8038 1.1196
2.0340 4.8038 3.9042
2.0340 -4.8038 6.1433
2.0340 -4.8038 8.9279
2.0340 3.5538 7.5356
2.0340 -3.5538 2.5119
```

Main lines, by intensity (2θ from 10° to 90°):
2θ (°), I/Imax
23.0, 100
42.7, 68
42.9, 47
44.5, 44
14.3, 37
41.2, 33
30.3, 27
46.5, 25
66.4, 20
56.9, 19
35.7, 17
51.0, 16

=====

7.
Theoretical X-ray diffraction stick pattern of PaCoGeOs for Cu Kα, 1.54184 Å, from a crystal structure in Alexandria, relaxed with PBE.
Neutral-atom scattering factors, no anomalous dispersion.

```
PaCoGeOs
1.0
4.1367 0.0000 0.0000
-2.0684 3.5825 0.0000
0.0000 0.0000 14.6655
Pa Co Ge Os
3 3 3 3
Cartesian
0.0000 0.0000 0.0000
0.0000 2.3883 9.7770
2.0684 1.1942 4.8885
0.0000 0.0000 6.8691
0.0000 2.3883 1.9806
2.0684 1.1942 11.7576
0.0000 0.0000 3.0069
0.0000 2.3883 12.7839
2.0684 1.1942 7.8954
0.0000 0.0000 11.5029
0.0000 2.3883 6.6144
2.0684 1.1942 1.7259
```

Main lines, by intensity (2θ from 10° to 90°):
2θ (°), I/Imax
35.0, 100
43.8, 91
39.7, 74
25.6, 74
74.1, 29
57.2, 25
74.7, 23
60.6, 22
77.7, 22
58.5, 18
18.1, 17
80.4, 16

=====

8.
Theoretical X-ray diffraction stick pattern of Li12Zn2Au for Cu Kα, 1.54184 Å, from a crystal structure in Alexandria, relaxed with PBE.
Neutral-atom scattering factors, no anomalous dispersion.

```
Li12Zn2Au
1.0
2.7684 0.0000 0.0000
0.0000 4.9515 0.0000
0.0000 0.0000 18.8425
Li Zn Au
12 2 1
Cartesian
0.0000 0.0000 1.3042
0.0000 0.0000 17.5383
0.0000 1.1980 9.4213
0.0000 3.7535 9.4213
1.3842 0.0000 4.0201
1.3842 0.0000 6.6320
1.3842 0.0000 12.2105
1.3842 0.0000 14.8224
1.3842 2.4758 2.3882
1.3842 2.4758 7.2007
1.3842 2.4758 11.6418
1.3842 2.4758 16.4543
0.0000 2.4758 4.8772
0.0000 2.4758 13.9653
0.0000 2.4758 0.0000
```

Main lines, by intensity (2θ from 10° to 90°):
2θ (°), I/Imax
17.9, 100
18.8, 85
26.1, 78
14.1, 71
18.5, 57
42.0, 55
22.9, 48
37.7, 40
37.2, 33
42.5, 26
53.3, 26
40.0, 25